No. 1
This entry pairs a crystal structure of AlCo2O4 with its computed powder diffraction line list. Radiation: Cu Kα, 1.54184 Å. Structure: a PBE+U-relaxed structure.
Neutral-atom scattering factors, no anomalous dispersion.

Largest 10 diffraction maxima, low angle first, 10 to 90 degrees two-theta:
2θ (°), I/Imax
19.57, 100
32.19, 58
32.36, 39
38.73, 73
38.96, 93
39.14, 74
39.64, 44
39.83, 45
41.29, 30
61.39, 33

Atomic structure:
```
AlCo2O4
1.0
5.1223 0.0000 0.0000
-0.4642 5.2308 0.0000
-2.3061 -2.5558 4.9579
Al Co O
2 4 8
Direct
0.1702 0.4263 0.3451
0.8298 0.5737 0.6549
0.0000 0.0000 0.5000
0.5000 0.0000 0.0000
0.5000 0.0000 0.5000
0.5000 0.5000 0.0000
0.1043 0.9402 0.8086
0.1487 0.3992 0.6666
0.2907 0.6456 0.1927
0.4755 0.2360 0.3295
0.5245 0.7640 0.6705
0.7093 0.3544 0.8073
0.8513 0.6008 0.3334
0.8957 0.0598 0.1914
```



No. 2
This entry pairs a crystal structure of AlCoO3 with its computed powder diffraction line list. Radiation: Cu Kα, 1.54184 Å. Structure: a PBE+U-relaxed structure.
Neutral-atom scattering factors, no anomalous dispersion.

Largest 10 diffraction maxima, low angle first, 10 to 90 degrees two-theta:
2θ (°), I/Imax
24.38, 15
26.02, 34
35.96, 100
36.52, 19
37.72, 15
53.51, 21
59.62, 18
63.46, 14
65.37, 16
66.95, 26

Atomic structure:
```
AlCoO3
1.0
4.9208 0.0000 0.0000
0.0000 7.3005 0.0000
0.0000 0.0000 4.7698
Al Co O
4 4 12
Direct
0.0667 0.2500 0.0230
0.4333 0.7500 0.5230
0.5667 0.2500 0.4770
0.9333 0.7500 0.9770
0.0000 0.0000 0.5000
0.0000 0.5000 0.5000
0.5000 0.0000 0.0000
0.5000 0.5000 0.0000
0.0850 0.7500 0.3486
0.1813 0.5831 0.8212
0.1813 0.9169 0.8212
0.3187 0.0831 0.3212
0.3187 0.4169 0.3212
0.4150 0.2500 0.8486
0.5850 0.7500 0.1514
0.6813 0.5831 0.6788
0.6813 0.9169 0.6788
0.8187 0.0831 0.1788
0.8187 0.4169 0.1788
0.9150 0.2500 0.6514
```



No. 3
This entry pairs a crystal structure of AlCoO3 with its computed powder diffraction line list. Radiation: Cu Kα, 1.54184 Å. Structure: a PBE+U-relaxed structure.
Neutral-atom scattering factors, no anomalous dispersion.

Largest 10 diffraction maxima, low angle first, 10 to 90 degrees two-theta:
2θ (°), I/Imax
15.33, 24
30.95, 38
34.01, 100
36.66, 21
40.74, 10
52.02, 31
58.84, 18
59.11, 34
66.31, 10
68.22, 21

Atomic structure:
```
AlCoO3
1.0
5.4145 0.0000 0.0000
-2.7072 4.6891 0.0000
0.0000 0.0000 11.5576
Al Co O
6 6 18
Direct
0.0000 0.0000 0.0000
0.0000 0.0000 0.5000
0.3333 0.6667 0.4845
0.3333 0.6667 0.9845
0.6667 0.3333 0.4845
0.6667 0.3333 0.9845
0.0000 0.3275 0.2357
0.0000 0.6725 0.7357
0.3275 0.0000 0.2357
0.3275 0.3275 0.7357
0.6725 0.0000 0.7357
0.6725 0.6725 0.2357
0.0000 0.0000 0.1800
0.0000 0.0000 0.6800
0.0000 0.3102 0.4117
0.0000 0.3735 0.0645
0.0000 0.6265 0.5645
0.0000 0.6898 0.9117
0.3102 0.0000 0.4117
0.3102 0.3102 0.9117
0.3333 0.6667 0.2566
0.3333 0.6667 0.7566
0.3735 0.0000 0.0645
0.3735 0.3735 0.5645
0.6265 0.0000 0.5645
0.6265 0.6265 0.0645
0.6667 0.3333 0.2566
0.6667 0.3333 0.7566
0.6898 0.0000 0.9117
0.6898 0.6898 0.4117
```



No. 4
This entry pairs a crystal structure of Al2CoO4 with its computed powder diffraction line list. Radiation: Cu Kα, 1.54184 Å. Structure: a PBE+U-relaxed structure.
Neutral-atom scattering factors, no anomalous dispersion.

Largest 10 diffraction maxima, low angle first, 10 to 90 degrees two-theta:
2θ (°), I/Imax
30.91, 62
36.42, 100
44.28, 11
48.50, 5
54.98, 20
58.63, 42
64.41, 51
73.15, 7
76.31, 11
89.67, 11

Atomic structure:
```
Al2CoO4
1.0
2.8921 1.6698 18.9065
-2.8921 1.6698 18.9065
0.0000 -3.3395 18.9065
Al Co O
16 8 32
Direct
0.0000 0.0000 0.0000
0.0942 0.0942 0.0942
0.2188 0.7194 0.7194
0.2216 0.2216 0.7154
0.2216 0.7154 0.2216
0.4692 0.9690 0.9690
0.4709 0.4709 0.9661
0.4709 0.9661 0.4709
0.5941 0.5941 0.5941
0.7154 0.2216 0.2216
0.7194 0.2188 0.7194
0.7194 0.7194 0.2188
0.8441 0.8441 0.8441
0.9661 0.4709 0.4709
0.9690 0.4692 0.9690
0.9690 0.9690 0.4692
0.1879 0.1879 0.1879
0.2510 0.2510 0.2510
0.3449 0.3449 0.3449
0.4383 0.4383 0.4383
0.5004 0.5004 0.5004
0.6888 0.6888 0.6888
0.7497 0.7497 0.7497
0.9381 0.9381 0.9381
0.0137 0.0137 0.5717
0.0137 0.5717 0.0137
0.0323 0.0323 0.0323
0.0605 0.5224 0.5224
0.1167 0.6749 0.6749
0.1531 0.1531 0.1531
0.1563 0.1563 0.6509
0.1563 0.6509 0.1563
0.2634 0.2634 0.8221
0.2634 0.8221 0.2634
0.2866 0.2866 0.2866
0.3232 0.7625 0.7625
0.3620 0.9271 0.9271
0.4039 0.4039 0.4039
0.4244 0.4244 0.8682
0.4244 0.8682 0.4244
0.5224 0.0605 0.5224
0.5224 0.5224 0.0605
0.5355 0.5355 0.5355
0.5717 0.0137 0.0137
0.6509 0.1563 0.1563
0.6534 0.6534 0.6534
0.6749 0.1167 0.6749
0.6749 0.6749 0.1167
0.7625 0.3232 0.7625
0.7625 0.7625 0.3232
0.7850 0.7850 0.7850
0.8221 0.2634 0.2634
0.8682 0.4244 0.4244
0.9032 0.9032 0.9032
0.9271 0.3620 0.9271
0.9271 0.9271 0.3620
```



No. 5
This entry pairs a crystal structure of AlCoO3 with its computed powder diffraction line list. Radiation: Cu Kα, 1.54184 Å. Structure: a PBE+U-relaxed structure.
Neutral-atom scattering factors, no anomalous dispersion.

Largest 10 diffraction maxima, low angle first, 10 to 90 degrees two-theta:
2θ (°), I/Imax
15.73, 25
31.77, 38
33.79, 100
36.58, 18
52.67, 28
58.58, 35
59.78, 13
67.57, 9
68.19, 22
69.36, 10

Atomic structure:
```
AlCoO3
1.0
3.1518 0.0000 0.0000
-1.5759 2.7295 0.0000
0.0000 0.0000 11.2661
Al Co O
2 2 6
Direct
0.0000 0.0000 0.0000
0.0000 0.0000 0.5000
0.3333 0.6667 0.2500
0.6667 0.3333 0.7500
0.0000 0.0000 0.2500
0.0000 0.0000 0.7500
0.3333 0.6667 0.0781
0.3333 0.6667 0.4219
0.6667 0.3333 0.5781
0.6667 0.3333 0.9219
```



No. 6
This entry pairs a crystal structure of AlCoO3 with its computed powder diffraction line list. Radiation: Cu Kα, 1.54184 Å. Structure: a PBE+U-relaxed structure.
Neutral-atom scattering factors, no anomalous dispersion.

Largest 10 diffraction maxima, low angle first, 10 to 90 degrees two-theta:
2θ (°), I/Imax
14.08, 50
19.14, 88
30.75, 63
31.79, 47
35.64, 53
36.31, 50
36.77, 100
44.84, 56
64.45, 45
65.58, 40

Atomic structure:
```
AlCoO3
1.0
4.7135 -4.2817 0.0000
4.7135 4.2817 0.0000
-0.9038 0.0000 4.9484
Al Co O
4 4 12
Direct
0.1005 0.2863 0.3033
0.2863 0.1005 0.8033
0.7137 0.8995 0.1967
0.8995 0.7137 0.6967
0.2310 0.7690 0.2500
0.4134 0.5866 0.7500
0.5866 0.4134 0.2500
0.7690 0.2310 0.7500
0.0601 0.2184 0.6195
0.1435 0.6383 0.8904
0.2184 0.0601 0.1195
0.3072 0.4722 0.3838
0.3617 0.8565 0.6096
0.4722 0.3072 0.8838
0.5278 0.6928 0.1162
0.6383 0.1435 0.3904
0.6928 0.5278 0.6162
0.7816 0.9399 0.8805
0.8565 0.3617 0.1096
0.9399 0.7816 0.3805
```